Starting from a cell relaxed with GGA-PBE, the X-ray powder pattern of SrCdAsH was computed for Cu Kα (λ = 1.5418 Å).
Lines closer than 0.1° are merged.

Peak list (6 most intense, 2θ = 10–90°, in order of rising 2θ)
- 2θ 24.51, rel. 46
- 2θ 28.74, rel. 100
- 2θ 34.74, rel. 63
- 2θ 40.29, rel. 81
- 2θ 54.09, rel. 32
- 2θ 73.28, rel. 26

Structural model:
```
data_SrCdAsH
_cell_length_a 4.4765
_cell_length_b 4.4765
_cell_length_c 10.3878
_cell_angle_alpha 90.00
_cell_angle_beta 90.00
_cell_angle_gamma 120.00
_symmetry_space_group_name_H-M 'P 63 m c'
_symmetry_Int_Tables_number 186
_symmetry_space_group_name_Hall 'P 6c -2c'
loop_
_atom_site_label
_atom_site_type_symbol
_atom_site_fract_x
_atom_site_fract_y
_atom_site_fract_z
_atom_site_occupancy
Sr1 Sr 0.3333 0.6667 0.0000 1
Cd1 Cd 0.0000 0.0000 0.2433 1
As1 As 0.3333 0.6667 0.3211 1
H1 H 0.0000 0.0000 0.0607 1
```



Starting from a cell relaxed with GGA-PBE, the X-ray powder pattern of Cd3AsI2 was computed for Cu Kα (λ = 1.5418 Å).
Lines closer than 0.1° are merged.

Peak list (6 most intense, 2θ = 10–90°, in order of rising 2θ)
- 2θ 26.58, rel. 49
- 2θ 29.74, rel. 100
- 2θ 39.21, rel. 24
- 2θ 41.38, rel. 35
- 2θ 42.50, rel. 16
- 2θ 42.63, rel. 17

Structural model:
```
data_Cd3AsI2
_cell_length_a 8.2170
_cell_length_b 12.7627
_cell_length_c 7.6902
_cell_angle_alpha 90.00
_cell_angle_beta 115.45
_cell_angle_gamma 90.00
_symmetry_space_group_name_H-M 'C 1 2/c 1'
_symmetry_Int_Tables_number 15
_symmetry_space_group_name_Hall '-C 2yc'
loop_
_atom_site_label
_atom_site_type_symbol
_atom_site_fract_x
_atom_site_fract_y
_atom_site_fract_z
_atom_site_occupancy
Cd1 Cd 0.1754 0.0639 0.0149 1
Cd2 Cd 0.2500 0.2500 0.5000 1
As1 As 0.0000 0.1006 0.2500 1
I1 I 0.0000 0.2570 0.7500 1
I2 I 0.0000 0.4253 0.2500 1
```



Starting from a cell relaxed with GGA-PBE, the X-ray powder pattern of Cd4AsSI2 was computed for Cu Kα (λ = 1.5418 Å).
Lines closer than 0.1° are merged.

Peak list (6 most intense, 2θ = 10–90°, in order of rising 2θ)
- 2θ 21.46, rel. 100
- 2θ 24.02, rel. 79
- 2θ 29.38, rel. 46
- 2θ 30.25, rel. 48
- 2θ 36.70, rel. 58
- 2θ 42.63, rel. 54

Structural model:
```
data_Cd4AsSI2
_cell_length_a 9.7950
_cell_length_b 7.7530
_cell_length_c 7.4100
_cell_angle_alpha 90.00
_cell_angle_beta 90.00
_cell_angle_gamma 90.00
_symmetry_space_group_name_H-M 'P m n 21'
_symmetry_Int_Tables_number 31
_symmetry_space_group_name_Hall 'P 2ac -2'
loop_
_atom_site_label
_atom_site_type_symbol
_atom_site_fract_x
_atom_site_fract_y
_atom_site_fract_z
_atom_site_occupancy
Cd1 Cd 0.0000 0.0875 0.0000 1
Cd2 Cd 0.0000 0.8986 0.5014 1
Cd3 Cd 0.2488 0.6986 0.1000 1
As1 As 0.0000 0.1931 0.6675 1
S1 S 0.0000 0.8013 0.1714 1
I1 I 0.2481 0.3018 0.1641 1
```



Starting from a cell relaxed with GGA-PBE, the X-ray powder pattern of CdIn2As was computed for Cu Kα (λ = 1.5418 Å).
Lines closer than 0.1° are merged.

Peak list (6 most intense, 2θ = 10–90°, in order of rising 2θ)
- 2θ 24.53, rel. 100
- 2θ 36.46, rel. 34
- 2θ 42.52, rel. 45
- 2θ 44.44, rel. 38
- 2θ 52.52, rel. 11
- 2θ 69.79, rel. 17

Structural model:
```
data_CdIn2As
_cell_length_a 6.9697
_cell_length_b 6.9697
_cell_length_c 10.7318
_cell_angle_alpha 90.00
_cell_angle_beta 90.00
_cell_angle_gamma 90.00
_symmetry_space_group_name_H-M 'I -4 2 d'
_symmetry_Int_Tables_number 122
_symmetry_space_group_name_Hall 'I -4 2bw'
loop_
_atom_site_label
_atom_site_type_symbol
_atom_site_fract_x
_atom_site_fract_y
_atom_site_fract_z
_atom_site_occupancy
Cd1 Cd 0.0000 0.0000 0.0000 1
In1 In 0.2243 0.2500 0.6250 1
As1 As 0.0000 0.0000 0.5000 1
```



Q: Number 1 is which compound?
A: SrCdAsH



Q: Which formula does entry 1 have?
A: SrCdAsH



Q: What is the formula in the first record?
A: SrCdAsH